DyTm2Ag2Pb2: calculated X-ray powder pattern (CuKα), based on a cell relaxed with PBE.
Neutral-atom scattering factors, no anomalous dispersion.

Structure:
Unit cell a=4.9161 b=4.9161 c=25.7086 alpha=90.00 beta=90.00 gamma=120.00
Space group R-3m (No. 166, hexagonal axes)
Unique sites:
1 Dy 0.0000 0.0000 0.0000 [3 per cell]
2 Tm 0.0000 0.0000 0.1341 [6 per cell]
3 Ag 0.0000 0.0000 0.4426 [6 per cell]
4 Pb 0.0000 0.0000 0.2675 [6 per cell]

Top 10 peaks for 2θ from 10° to 90°, by intensity:
index  d_spacing  two_theta  I/Imax
1 1 0  2.458  36.56  100
1 0 7  2.781  32.19  97
0 2 7  1.842  49.49  29
2 1 7  1.474  63.07  28
0 1 8  2.565  34.98  22
3 0 0  1.419  65.81  18
1 1 15  1.406  66.51  16
1 3 7  1.124  86.59  12
2 2 0  1.229  77.70  11
1 0 4  3.549  25.09  11

---

Dy2AgPd2: calculated X-ray powder pattern (CuKα), based on a cell relaxed with PBE.
Neutral-atom scattering factors, no anomalous dispersion.

Structure:
Unit cell a=7.6563 b=7.6563 c=3.7019 alpha=90.00 beta=90.00 gamma=90.00
Space group P4/mbm (No. 127)
Unique sites:
1 Dy 0.1711 0.3289 0.0000 [4 per cell]
2 Ag 0.0000 0.0000 0.5000 [2 per cell]
3 Pd 0.1301 0.6301 0.5000 [4 per cell]

Top 10 peaks for 2θ from 10° to 90°, by intensity:
index  d_spacing  two_theta  I/Imax
2 1 1  2.514  35.72  100
3 1 0  2.421  37.13  42
2 0 1  2.661  33.68  28
3 1 2  1.470  63.24  17
4 1 1  1.660  55.35  14
0 0 2  1.851  49.23  14
5 2 1  1.327  71.02  13
2 1 3  1.161  83.22  9
2 2 0  2.707  33.09  9
5 1 1  1.391  67.29  8

---

Dy4AgPd: calculated X-ray powder pattern (CuKα), based on a cell relaxed with PBE.
Neutral-atom scattering factors, no anomalous dispersion.

Structure:
Unit cell a=13.5491 b=13.5491 c=13.5491 alpha=90.00 beta=90.00 gamma=90.00
Space group F-43m (No. 216)
Unique sites:
1 Dy 0.0000 0.0000 0.1842 [24 per cell]
2 Dy 0.0616 0.2500 0.2500 [24 per cell]
3 Dy 0.1081 0.1081 0.6081 [16 per cell]
4 Ag 0.1658 0.1658 0.8342 [16 per cell]
5 Pd 0.1038 0.1038 0.3962 [16 per cell]

Top 10 peaks for 2θ from 10° to 90°, by intensity:
index  d_spacing  two_theta  I/Imax
5 1 1  2.608  34.39  100
4 2 2  2.766  32.37  44
6 6 0  1.597  57.74  41
4 4 0  2.395  37.55  32
3 3 1  3.108  28.72  25
9 3 3  1.362  68.96  16
5 5 5  1.565  59.04  13
10 6 4  1.099  89.09  12
11 5 1  1.118  87.24  11
9 5 1  1.310  72.11  9

---

DyAgPd4: calculated X-ray powder pattern (CuKα), based on a cell relaxed with PBE.
Neutral-atom scattering factors, no anomalous dispersion.

Structure:
Unit cell a=7.5518 b=7.5518 c=7.5518 alpha=90.00 beta=90.00 gamma=90.00
Space group F-43m (No. 216)
Unique sites:
1 Dy 0.0000 0.0000 0.0000 [4 per cell]
2 Ag 0.2500 0.2500 0.7500 [4 per cell]
3 Pd 0.1248 0.1248 0.3752 [16 per cell]

Top 10 peaks for 2θ from 10° to 90°, by intensity:
index  d_spacing  two_theta  I/Imax
3 1 1  2.277  39.58  100
2 2 0  2.670  33.56  35
2 2 2  2.180  41.42  33
5 1 1  1.453  64.07  31
4 4 0  1.335  70.55  26
4 2 2  1.542  60.01  13
6 2 2  1.138  85.24  12
5 3 3  1.152  84.04  11
6 2 0  1.194  80.43  5
4 0 0  1.888  48.20  2

---

Dy2Ag2Pd: calculated X-ray powder pattern (CuKα), based on a cell relaxed with PBE.
Neutral-atom scattering factors, no anomalous dispersion.

Structure:
Unit cell a=6.4645 b=12.6227 c=5.6211 alpha=90.00 beta=90.00 gamma=90.00
Space group Ibam (No. 72)
Unique sites:
1 Dy 0.2025 0.1657 0.0000 [8 per cell]
2 Ag 0.1508 0.4097 0.0000 [8 per cell]
3 Pd 0.0000 0.0000 0.2500 [4 per cell]

Top 10 peaks for 2θ from 10° to 90°, by intensity:
index  d_spacing  two_theta  I/Imax
1 4 1  2.531  35.47  100
2 1 1  2.735  32.74  48
2 0 2  2.121  42.62  35
0 0 2  2.811  31.84  34
0 4 2  2.099  43.10  27
3 3 0  1.917  47.41  25
1 8 1  1.479  62.84  20
2 3 1  2.332  38.61  19
1 4 3  1.563  59.09  19
1 5 0  2.352  38.27  16

---

DyAgPd5: calculated X-ray powder pattern (CuKα), based on a cell relaxed with PBE.
Neutral-atom scattering factors, no anomalous dispersion.

Structure:
Unit cell a=5.1348 b=5.3829 c=9.4351 alpha=90.00 beta=90.00 gamma=90.00
Space group Imm2 (No. 44)
Unique sites:
1 Dy 0.0000 0.0000 0.0000 [2 per cell]
2 Ag 0.0000 0.5000 0.7138 [2 per cell]
3 Pd 0.0000 0.0000 0.7283 [2 per cell]
4 Pd 0.0000 0.2557 0.2574 [4 per cell]
5 Pd 0.2488 0.5000 0.9832 [4 per cell]

Top 10 peaks for 2θ from 10° to 90°, by intensity:
index  d_spacing  two_theta  I/Imax
2 0 2  2.252  40.03  100
1 2 1  2.311  38.97  83
0 0 4  2.359  38.15  62
1 2 3  1.900  47.88  49
0 2 2  2.338  38.51  31
1 0 3  2.682  33.41  29
2 1 3  1.866  48.82  25
0 2 0  2.691  33.29  23
1 1 2  2.919  30.63  21
2 0 0  2.567  34.95  20